(1)
Simulated powder diffraction line list
Compound: Tl6AgSe4
Radiation: Cu Kα X-rays
Structure: a crystal structure in Alexandria, relaxed with GGA-PBE

Atomic structure:
Unit cell a=10.446 b=10.446 c=7.296 alpha=90.00 beta=90.00 gamma=120.00
Fractional coordinates of all 22 atoms:
Tl 0.062 0.531 0.000
Tl 0.155 0.309 0.671
Tl 0.155 0.845 0.671
Tl 0.309 0.155 0.171
Tl 0.469 0.531 0.000
Tl 0.469 0.938 0.000
Tl 0.531 0.062 0.500
Tl 0.531 0.469 0.500
Tl 0.691 0.845 0.671
Tl 0.845 0.155 0.171
Tl 0.845 0.691 0.171
Tl 0.938 0.469 0.500
Ag 0.333 0.667 0.361
Ag 0.667 0.333 0.861
Se 0.187 0.373 0.253
Se 0.187 0.813 0.253
Se 0.333 0.667 0.740
Se 0.373 0.187 0.753
Se 0.627 0.813 0.253
Se 0.667 0.333 0.240
Se 0.813 0.187 0.753
Se 0.813 0.627 0.753

Main lines, sorted by position (10 to 90 degrees two-theta):
d (Å)  I_rel
3.844  29
3.383  20
3.096  77
2.840  100
2.787  23
2.611  93
2.142  15
1.922  16
1.893  15
1.756  22
1.579  17
1.245  14

(2)
Simulated powder diffraction line list
Compound: TmTl2Ag2Se4
Radiation: Cu Kα X-rays
Structure: a crystal structure in Alexandria, relaxed with GGA-PBE

Atomic structure:
Unit cell a=7.985 b=7.985 c=8.038 alpha=108.94 beta=108.94 gamma=29.71
Fractional coordinates of all 9 atoms:
Tm 0.000 0.000 0.000
Tl 0.131 0.131 0.567
Tl 0.869 0.869 0.433
Ag 0.321 0.321 0.018
Ag 0.679 0.679 0.982
Se 0.196 0.196 0.203
Se 0.491 0.491 0.242
Se 0.509 0.509 0.758
Se 0.804 0.804 0.797

Main lines, sorted by position (10 to 90 degrees two-theta):
d (Å)  I_rel
3.942  39
3.815  25
3.786  25
3.141  52
2.917  41
2.864  99
2.718  56
2.692  100
2.423  28
2.047  46
1.802  26
1.785  38

(3)
Simulated powder diffraction line list
Compound: U3TlAg4Se12
Radiation: Cu Kα X-rays
Structure: a crystal structure in Alexandria, relaxed with GGA-PBE

Atomic structure:
Unit cell a=9.281 b=9.281 c=9.281 alpha=108.33 beta=108.33 gamma=108.33
Fractional coordinates of all 20 atoms:
U 0.000 0.563 0.437
U 0.437 0.000 0.563
U 0.563 0.437 0.000
Tl 0.000 0.000 0.000
Ag 0.076 0.500 0.924
Ag 0.500 0.500 0.500
Ag 0.500 0.924 0.076
Ag 0.924 0.076 0.500
Se 0.052 0.671 0.754
Se 0.101 0.899 0.500
Se 0.246 0.329 0.948
Se 0.329 0.948 0.246
Se 0.332 0.668 0.500
Se 0.500 0.101 0.899
Se 0.500 0.332 0.668
Se 0.668 0.500 0.332
Se 0.671 0.754 0.052
Se 0.754 0.052 0.671
Se 0.899 0.500 0.101
Se 0.948 0.246 0.329

Main lines, sorted by position (10 to 90 degrees two-theta):
d (Å)  I_rel
7.524  35
5.424  28
4.400  67
3.914  100
3.762  22
2.908  58
2.301  46
2.291  22
2.276  33
2.144  25
2.087  42
1.740  30

(4)
Simulated powder diffraction line list
Compound: YTlAgSe2
Radiation: Cu Kα X-rays
Structure: a crystal structure in Alexandria, relaxed with GGA-PBE

Atomic structure:
Unit cell a=6.755 b=5.963 c=7.695 alpha=90.00 beta=104.11 gamma=90.00
Fractional coordinates of all 10 atoms:
Y 0.000 0.016 0.250
Y 0.000 0.984 0.750
Tl 0.500 0.316 0.250
Tl 0.500 0.684 0.750
Ag 0.000 0.500 0.000
Ag 0.000 0.500 0.500
Se 0.261 0.181 0.565
Se 0.261 0.819 0.065
Se 0.739 0.181 0.935
Se 0.739 0.819 0.435

Main lines, sorted by position (10 to 90 degrees two-theta):
d (Å)  I_rel
4.659  37
3.647  63
3.550  100
3.276  27
3.111  45
2.895  34
2.827  28
2.714  64
2.641  96
2.506  31
2.296  36
1.754  36

(5)
Simulated powder diffraction line list
Compound: Tm2AgSe4
Radiation: Cu Kα X-rays
Structure: a crystal structure in Alexandria, relaxed with GGA-PBE

Atomic structure:
Unit cell a=6.885 b=5.615 c=8.727 alpha=90.00 beta=98.79 gamma=90.00
Fractional coordinates of all 14 atoms:
Tm 0.152 0.250 0.352
Tm 0.236 0.250 0.933
Tm 0.764 0.750 0.067
Tm 0.848 0.750 0.648
Ag 0.383 0.750 0.530
Ag 0.617 0.250 0.470
Se 0.019 0.750 0.373
Se 0.098 0.750 0.914
Se 0.452 0.505 0.212
Se 0.452 0.995 0.212
Se 0.548 0.005 0.788
Se 0.548 0.495 0.788
Se 0.902 0.250 0.086
Se 0.981 0.250 0.627

Main lines, sorted by position (10 to 90 degrees two-theta):
d (Å)  I_rel
4.329  47
3.416  72
2.895  78
2.807  54
2.654  27
2.595  43
2.513  81
2.353  37
2.282  100
2.053  32
2.009  32
2.005  41

(6)
Simulated powder diffraction line list
Compound: U3Ag3Se8
Radiation: Cu Kα X-rays
Structure: a crystal structure in Alexandria, relaxed with GGA-PBE

Atomic structure:
Unit cell a=8.063 b=8.063 c=8.063 alpha=63.18 beta=63.18 gamma=63.18
Fractional coordinates of all 14 atoms:
U 0.000 0.500 0.500
U 0.500 0.000 0.500
U 0.500 0.500 0.000
Ag 0.115 0.115 0.115
Ag 0.500 0.500 0.500
Ag 0.885 0.885 0.885
Se 0.252 0.252 0.726
Se 0.252 0.726 0.252
Se 0.256 0.256 0.256
Se 0.274 0.748 0.748
Se 0.726 0.252 0.252
Se 0.744 0.744 0.744
Se 0.748 0.274 0.748
Se 0.748 0.748 0.274

Main lines, sorted by position (10 to 90 degrees two-theta):
d (Å)  I_rel
6.838  21
6.421  40
3.593  59
3.528  50
3.410  30
2.913  100
2.246  24
2.199  22
2.112  75
2.011  61
1.456  21
1.199  25

Repeat the fourth record exactly.
Simulated powder diffraction line list
Compound: YTlAgSe2
Radiation: Cu Kα X-rays
Structure: a crystal structure in Alexandria, relaxed with GGA-PBE

Atomic structure:
Unit cell a=6.755 b=5.963 c=7.695 alpha=90.00 beta=104.11 gamma=90.00
Fractional coordinates of all 10 atoms:
Y 0.000 0.016 0.250
Y 0.000 0.984 0.750
Tl 0.500 0.316 0.250
Tl 0.500 0.684 0.750
Ag 0.000 0.500 0.000
Ag 0.000 0.500 0.500
Se 0.261 0.181 0.565
Se 0.261 0.819 0.065
Se 0.739 0.181 0.935
Se 0.739 0.819 0.435

Main lines, sorted by position (10 to 90 degrees two-theta):
d (Å)  I_rel
4.659  37
3.647  63
3.550  100
3.276  27
3.111  45
2.895  34
2.827  28
2.714  64
2.641  96
2.506  31
2.296  36
1.754  36

Repeat the sixth record exactly.
Simulated powder diffraction line list
Compound: U3Ag3Se8
Radiation: Cu Kα X-rays
Structure: a crystal structure in Alexandria, relaxed with GGA-PBE

Atomic structure:
Unit cell a=8.063 b=8.063 c=8.063 alpha=63.18 beta=63.18 gamma=63.18
Fractional coordinates of all 14 atoms:
U 0.000 0.500 0.500
U 0.500 0.000 0.500
U 0.500 0.500 0.000
Ag 0.115 0.115 0.115
Ag 0.500 0.500 0.500
Ag 0.885 0.885 0.885
Se 0.252 0.252 0.726
Se 0.252 0.726 0.252
Se 0.256 0.256 0.256
Se 0.274 0.748 0.748
Se 0.726 0.252 0.252
Se 0.744 0.744 0.744
Se 0.748 0.274 0.748
Se 0.748 0.748 0.274

Main lines, sorted by position (10 to 90 degrees two-theta):
d (Å)  I_rel
6.838  21
6.421  40
3.593  59
3.528  50
3.410  30
2.913  100
2.246  24
2.199  22
2.112  75
2.011  61
1.456  21
1.199  25